Record 1
# PuB4Os
Computed XRD peak list, Cu Kα (λ = 1.5418 Å). Input: a structure optimized by DFT (GGA-PBE).
Kinematic intensities with the Lorentz-polarization factor, no thermal factor.

Top 10 peaks for 15° ≤ 2θ ≤ 90°, low angle first:
d 3.541, 25.2°, I 86; d 2.905, 30.8°, I 89; d 2.615, 34.3°, I 20; d 2.396, 37.5°, I 17; d 2.372, 37.9°, I 25; d 2.246, 40.2°, I 100; d 2.104, 43.0°, I 25; d 1.971, 46.1°, I 33; d 1.770, 51.6°, I 17; d 1.512, 61.3°, I 26

Crystal structure
Lattice parameters (Å, degrees): 6.000 11.623 3.541 90.00 90.00 90.00
Element x y z (fractional)
Pu 0.127 0.150 0.000
Pu 0.373 0.650 0.000
Pu 0.627 0.350 0.000
Pu 0.873 0.850 0.000
B 0.027 0.692 0.500
B 0.114 0.547 0.500
B 0.135 0.969 0.500
B 0.213 0.813 0.500
B 0.287 0.313 0.500
B 0.365 0.469 0.500
B 0.386 0.047 0.500
B 0.473 0.192 0.500
B 0.527 0.808 0.500
B 0.614 0.953 0.500
B 0.635 0.531 0.500
B 0.713 0.687 0.500
B 0.787 0.187 0.500
B 0.865 0.031 0.500
B 0.886 0.453 0.500
B 0.973 0.308 0.500
Os 0.139 0.408 0.000
Os 0.361 0.908 0.000
Os 0.639 0.092 0.000
Os 0.861 0.592 0.000

---

Record 2
# ScB4Os3
Computed XRD peak list, Cu Kα (λ = 1.5418 Å). Input: a structure optimized by DFT (GGA-PBE).
Kinematic intensities with the Lorentz-polarization factor, no thermal factor.

Top 10 peaks for 15° ≤ 2θ ≤ 90°, low angle first:
d 3.790, 23.5°, I 58; d 2.957, 30.2°, I 41; d 2.876, 31.1°, I 76; d 2.833, 31.6°, I 48; d 2.762, 32.4°, I 54; d 2.278, 39.6°, I 100; d 2.166, 41.7°, I 67; d 2.137, 42.3°, I 58; d 1.849, 49.3°, I 54; d 1.710, 53.6°, I 61

Crystal structure
Lattice parameters (Å, degrees): 6.097 6.097 9.873 90.00 90.00 151.85
Element x y z (fractional)
Sc 0.000 0.000 0.000
Sc 0.000 0.000 0.500
B 0.129 0.871 0.750
B 0.150 0.850 0.250
B 0.343 0.657 0.609
B 0.343 0.657 0.891
B 0.657 0.343 0.109
B 0.657 0.343 0.391
B 0.850 0.150 0.750
B 0.871 0.129 0.250
Os 0.299 0.701 0.108
Os 0.299 0.701 0.392
Os 0.489 0.511 0.750
Os 0.511 0.489 0.250
Os 0.701 0.299 0.608
Os 0.701 0.299 0.892

---

Record 3
# ScBOs
Computed XRD peak list, Cu Kα (λ = 1.5418 Å). Input: a structure optimized by DFT (GGA-PBE).
Kinematic intensities with the Lorentz-polarization factor, no thermal factor.

Top 10 peaks for 15° ≤ 2θ ≤ 90°, low angle first:
d 4.703, 18.9°, I 100; d 3.838, 23.2°, I 23; d 2.695, 33.2°, I 85; d 2.363, 38.1°, I 80; d 2.351, 38.3°, I 44; d 2.102, 43.0°, I 47; d 1.989, 45.6°, I 38; d 1.919, 47.4°, I 24; d 1.707, 53.7°, I 23; d 1.567, 58.9°, I 41

Crystal structure
Lattice parameters (Å, degrees): 5.739 5.439 4.276 71.28 63.84 44.88
Element x y z (fractional)
Sc 0.000 0.500 0.000
Sc 0.500 0.000 0.500
B 0.163 0.837 0.837
B 0.837 0.163 0.163
Os 0.294 0.706 0.294
Os 0.706 0.294 0.706

---

Record 4
# Sm3B8Os3
Computed XRD peak list, Cu Kα (λ = 1.5418 Å). Input: a structure optimized by DFT (GGA-PBE).
Kinematic intensities with the Lorentz-polarization factor, no thermal factor.

Top 10 peaks for 15° ≤ 2θ ≤ 90°, low angle first:
d 3.789, 23.5°, I 22; d 3.095, 28.8°, I 63; d 2.967, 30.1°, I 16; d 2.559, 35.1°, I 76; d 2.396, 37.5°, I 47; d 2.209, 40.9°, I 100; d 2.100, 43.1°, I 33; d 1.895, 48.0°, I 33; d 1.465, 63.5°, I 35; d 1.204, 79.6°, I 15

Crystal structure
Lattice parameters (Å, degrees): 7.982 7.982 7.982 157.45 106.20 78.31
Element x y z (fractional)
Sm 0.000 0.000 0.000
Sm 0.283 0.283 0.000
Sm 0.717 0.717 0.000
B 0.024 0.349 0.675
B 0.103 0.869 0.234
B 0.326 0.651 0.675
B 0.364 0.131 0.234
B 0.636 0.869 0.766
B 0.674 0.349 0.325
B 0.897 0.131 0.766
B 0.976 0.651 0.325
Os 0.281 0.500 0.781
Os 0.500 0.000 0.500
Os 0.719 0.500 0.219

---

Record 5
# Sm3B4Os2
Computed XRD peak list, Cu Kα (λ = 1.5418 Å). Input: a structure optimized by DFT (GGA-PBE).
Kinematic intensities with the Lorentz-polarization factor, no thermal factor.

Top 10 peaks for 15° ≤ 2θ ≤ 90°, low angle first:
d 5.513, 16.1°, I 21; d 3.660, 24.3°, I 12; d 3.486, 25.6°, I 12; d 3.411, 26.1°, I 14; d 3.031, 29.5°, I 14; d 2.756, 32.5°, I 100; d 2.567, 35.0°, I 68; d 1.961, 46.3°, I 21; d 1.598, 57.7°, I 16; d 1.516, 61.1°, I 21

Crystal structure
Lattice parameters (Å, degrees): 6.086 6.086 7.828 116.27 116.27 37.59
Element x y z (fractional)
Sm 0.000 0.000 0.000
Sm 0.362 0.362 0.258
Sm 0.638 0.638 0.742
B 0.124 0.124 0.404
B 0.319 0.319 0.888
B 0.681 0.681 0.112
B 0.876 0.876 0.596
Os 0.322 0.322 0.640
Os 0.678 0.678 0.360

---

Record 6
# Ta2B2Os
Computed XRD peak list, Cu Kα (λ = 1.5418 Å). Input: a structure optimized by DFT (GGA-PBE).
Kinematic intensities with the Lorentz-polarization factor, no thermal factor.

Top 10 peaks for 15° ≤ 2θ ≤ 90°, low angle first:
d 2.666, 33.6°, I 62; d 2.637, 34.0°, I 64; d 2.246, 40.1°, I 100; d 2.099, 43.1°, I 78; d 2.085, 43.4°, I 25; d 1.865, 48.8°, I 47; d 1.448, 64.3°, I 21; d 1.322, 71.3°, I 21; d 1.290, 73.4°, I 30; d 1.270, 74.8°, I 21

Crystal structure
Lattice parameters (Å, degrees): 5.897 5.897 6.933 90.00 90.00 90.00
Element x y z (fractional)
Ta 0.164 0.315 0.000
Ta 0.185 0.336 0.500
Ta 0.315 0.836 0.000
Ta 0.336 0.815 0.500
Ta 0.664 0.185 0.500
Ta 0.685 0.164 0.000
Ta 0.815 0.664 0.500
Ta 0.836 0.685 0.000
B 0.114 0.614 0.250
B 0.114 0.614 0.750
B 0.386 0.114 0.250
B 0.386 0.114 0.750
B 0.614 0.886 0.250
B 0.614 0.886 0.750
B 0.886 0.386 0.250
B 0.886 0.386 0.750
Os 0.000 0.000 0.277
Os 0.000 0.000 0.723
Os 0.500 0.500 0.223
Os 0.500 0.500 0.777

---

Record 7
# Tb2B6Os
Computed XRD peak list, Cu Kα (λ = 1.5418 Å). Input: a structure optimized by DFT (GGA-PBE).
Kinematic intensities with the Lorentz-polarization factor, no thermal factor.

Top 10 peaks for 15° ≤ 2θ ≤ 90°, low angle first:
d 3.675, 24.2°, I 100; d 2.960, 30.2°, I 63; d 2.892, 30.9°, I 21; d 2.759, 32.4°, I 29; d 2.710, 33.1°, I 25; d 2.305, 39.1°, I 77; d 2.273, 39.7°, I 26; d 2.206, 40.9°, I 36; d 2.181, 41.4°, I 31; d 1.837, 49.6°, I 22

Crystal structure
Lattice parameters (Å, degrees): 9.201 11.569 3.675 90.00 90.00 90.00
Element x y z (fractional)
Tb 0.056 0.127 0.000
Tb 0.177 0.413 0.000
Tb 0.323 0.913 0.000
Tb 0.444 0.627 0.000
Tb 0.556 0.373 0.000
Tb 0.677 0.087 0.000
Tb 0.823 0.587 0.000
Tb 0.944 0.873 0.000
B 0.016 0.287 0.500
B 0.054 0.567 0.500
B 0.112 0.969 0.500
B 0.132 0.814 0.500
B 0.210 0.232 0.500
B 0.247 0.580 0.500
B 0.253 0.080 0.500
B 0.290 0.732 0.500
B 0.368 0.314 0.500
B 0.388 0.469 0.500
B 0.446 0.067 0.500
B 0.484 0.787 0.500
B 0.516 0.213 0.500
B 0.554 0.933 0.500
B 0.612 0.531 0.500
B 0.632 0.686 0.500
B 0.710 0.268 0.500
B 0.747 0.920 0.500
B 0.753 0.420 0.500
B 0.790 0.768 0.500
B 0.868 0.186 0.500
B 0.888 0.031 0.500
B 0.946 0.433 0.500
B 0.984 0.713 0.500
Os 0.137 0.678 0.000
Os 0.363 0.178 0.000
Os 0.637 0.822 0.000
Os 0.863 0.322 0.000

---

Record 8
# Tb2B10Os
Computed XRD peak list, Cu Kα (λ = 1.5418 Å). Input: a structure optimized by DFT (GGA-PBE).
Kinematic intensities with the Lorentz-polarization factor, no thermal factor.

Top 10 peaks for 15° ≤ 2θ ≤ 90°, low angle first:
d 5.686, 15.6°, I 31; d 5.112, 17.3°, I 41; d 4.034, 22.0°, I 72; d 3.239, 27.5°, I 57; d 2.904, 30.8°, I 100; d 2.362, 38.1°, I 72; d 2.352, 38.3°, I 75; d 2.093, 43.2°, I 27; d 2.017, 44.9°, I 46; d 1.858, 49.0°, I 28

Crystal structure
Lattice parameters (Å, degrees): 5.722 11.373 4.186 90.00 90.00 90.00
Element x y z (fractional)
Tb 0.225 0.130 0.000
Tb 0.275 0.630 0.000
Tb 0.725 0.370 0.000
Tb 0.775 0.870 0.000
B 0.058 0.307 0.500
B 0.120 0.958 0.500
B 0.134 0.803 0.500
B 0.224 0.381 0.200
B 0.224 0.381 0.800
B 0.276 0.881 0.200
B 0.276 0.881 0.800
B 0.366 0.303 0.500
B 0.380 0.458 0.500
B 0.442 0.807 0.500
B 0.558 0.193 0.500
B 0.620 0.542 0.500
B 0.634 0.697 0.500
B 0.724 0.119 0.200
B 0.724 0.119 0.800
B 0.776 0.619 0.200
B 0.776 0.619 0.800
B 0.866 0.197 0.500
B 0.880 0.042 0.500
B 0.942 0.693 0.500
Os 0.000 0.500 0.500
Os 0.500 0.000 0.500

---

Record 9
# Th2B10Os
Computed XRD peak list, Cu Kα (λ = 1.5418 Å). Input: a structure optimized by DFT (GGA-PBE).
Kinematic intensities with the Lorentz-polarization factor, no thermal factor.

Top 10 peaks for 15° ≤ 2θ ≤ 90°, low angle first:
d 4.062, 21.9°, I 70; d 3.258, 27.4°, I 33; d 2.924, 30.6°, I 86; d 2.373, 37.9°, I 100; d 2.107, 42.9°, I 19; d 2.031, 44.6°, I 30; d 1.870, 48.7°, I 24; d 1.668, 55.1°, I 23; d 1.462, 63.6°, I 18; d 1.229, 77.7°, I 18

Crystal structure
Lattice parameters (Å, degrees): 5.746 11.485 4.213 90.00 90.00 90.00
Element x y z (fractional)
Th 0.216 0.131 0.000
Th 0.284 0.631 0.000
Th 0.716 0.369 0.000
Th 0.784 0.869 0.000
B 0.059 0.307 0.500
B 0.118 0.957 0.500
B 0.131 0.803 0.500
B 0.221 0.381 0.199
B 0.221 0.381 0.801
B 0.279 0.881 0.199
B 0.279 0.881 0.801
B 0.369 0.303 0.500
B 0.382 0.457 0.500
B 0.441 0.807 0.500
B 0.559 0.193 0.500
B 0.618 0.543 0.500
B 0.631 0.697 0.500
B 0.721 0.119 0.199
B 0.721 0.119 0.801
B 0.779 0.619 0.199
B 0.779 0.619 0.801
B 0.869 0.197 0.500
B 0.882 0.043 0.500
B 0.941 0.693 0.500
Os 0.000 0.500 0.500
Os 0.500 0.000 0.500

---

Record 10
# Th3B7Os
Computed XRD peak list, Cu Kα (λ = 1.5418 Å). Input: a structure optimized by DFT (GGA-PBE).
Kinematic intensities with the Lorentz-polarization factor, no thermal factor.

Top 10 peaks for 15° ≤ 2θ ≤ 90°, low angle first:
d 3.552, 25.1°, I 100; d 3.131, 28.5°, I 85; d 3.014, 29.6°, I 70; d 2.890, 30.9°, I 24; d 2.728, 32.8°, I 39; d 2.433, 36.9°, I 49; d 2.395, 37.6°, I 91; d 2.361, 38.1°, I 57; d 1.819, 50.1°, I 27; d 1.682, 54.6°, I 25

Crystal structure
Lattice parameters (Å, degrees): 8.384 8.384 9.726 90.00 90.00 154.93
Element x y z (fractional)
Th 0.105 0.895 0.561
Th 0.105 0.895 0.939
Th 0.248 0.752 0.250
Th 0.752 0.248 0.750
Th 0.895 0.105 0.061
Th 0.895 0.105 0.439
B 0.276 0.724 0.534
B 0.276 0.724 0.966
B 0.367 0.633 0.655
B 0.367 0.633 0.845
B 0.464 0.536 0.250
B 0.476 0.524 0.601
B 0.476 0.524 0.899
B 0.524 0.476 0.101
B 0.524 0.476 0.399
B 0.536 0.464 0.750
B 0.633 0.367 0.155
B 0.633 0.367 0.345
B 0.724 0.276 0.034
B 0.724 0.276 0.466
Os 0.055 0.945 0.250
Os 0.945 0.055 0.750

---

Record 11
# Th2BOs
Computed XRD peak list, Cu Kα (λ = 1.5418 Å). Input: a structure optimized by DFT (GGA-PBE).
Kinematic intensities with the Lorentz-polarization factor, no thermal factor.

Top 10 peaks for 15° ≤ 2θ ≤ 90°, low angle first:
d 3.169, 28.2°, I 100; d 2.839, 31.5°, I 65; d 2.812, 31.8°, I 80; d 2.654, 33.8°, I 77; d 2.590, 34.6°, I 77; d 2.120, 42.7°, I 40; d 2.047, 44.2°, I 43; d 1.621, 56.8°, I 36; d 1.606, 57.4°, I 37; d 1.472, 63.2°, I 36

Crystal structure
Lattice parameters (Å, degrees): 5.387 4.095 8.193 90.00 105.92 90.00
Element x y z (fractional)
Th 0.221 0.250 0.403
Th 0.254 0.750 0.052
Th 0.746 0.250 0.948
Th 0.779 0.750 0.597
B 0.311 0.750 0.725
B 0.689 0.250 0.275
Os 0.224 0.250 0.752
Os 0.776 0.750 0.248

---

Question: What is the formula in the seventh record?
Answer: Tb2B6Os